Ca3MnF6: calculated powder X-ray diffraction pattern (Cu Kα (weighted mean of Kα1 and Kα2)), based on DFT lattice parameters and positions (PBE+U).

Structure:
```
data_Ca3MnF6
_cell_length_a 4.757
_cell_length_b 6.845
_cell_length_c 6.911
_cell_angle_alpha 119.48
_cell_angle_beta 90.38
_cell_angle_gamma 94.18
_space_group_name_H-M_alt 'P 1'
_space_group_IT_number 1
_space_group_name_Hall 'P 1'
loop_
_atom_site_label
_atom_site_type_symbol
_atom_site_fract_x
_atom_site_fract_y
_atom_site_fract_z
Ca1 Ca 0.000 0.000 0.000
Ca2 Ca 0.000 0.000 0.500
Ca3 Ca 0.500 0.500 0.000
Mn1 Mn 0.000 0.500 0.500
F1 F 0.198 0.835 0.668
F2 F 0.217 0.356 0.180
F3 F 0.233 0.346 0.668
F4 F 0.767 0.654 0.332
F5 F 0.783 0.644 0.820
F6 F 0.802 0.165 0.332
```

Main lines, low angle first (10 to 90 degrees two-theta):
Position (°2θ), I (rel.)
18.7, 100
23.0, 41
23.3, 70
23.6, 71
30.1, 62
34.6, 43
35.0, 40
37.1, 40
48.2, 41
53.0, 58